1.
For CeAlO3, a crystal structure in the Materials Project, relaxed with PBE gives the simulated X-ray powder pattern in this record (Cu Ka).
Kinematic intensities with the Lorentz-polarization factor, no thermal factor.

Peak list (12 most intense, 2θ = 10–90°, sorted by position)
2θ (°), intensity, h k l
23.2, 25, 0 0 2
23.6, 51, 1 1 0
33.3, 100, 1 1 2
33.6, 53, 2 0 0
41.2, 63, 2 0 2
47.5, 19, 0 0 4
48.2, 34, 2 2 0
53.7, 12, 1 1 4
54.2, 13, 2 2 2
59.4, 21, 2 0 4
59.9, 42, 3 1 2
70.0, 21, 2 2 4

a = 5.340 Å, b = 5.340 Å, c = 7.658 Å
α = 90.00°, β = 90.00°, γ = 90.00°
Space group I4/mcm (No. 140)
Inequivalent atoms, fractional coordinates:
Ce  0.000  0.500  0.250 (multiplicity 4)
Al  0.000  0.000  0.000 (multiplicity 4)
O  0.000  0.000  0.250 (multiplicity 4)
O  0.212  0.288  0.000 (multiplicity 8)

=====

2.
For ZnP2O6, a crystal structure in the Materials Project, relaxed with PBE gives the simulated X-ray powder pattern in this record (Cu Ka).
Kinematic intensities with the Lorentz-polarization factor, no thermal factor.

Peak list (12 most intense, 2θ = 10–90°, sorted by position)
2θ (°), intensity, h k l
13.5, 45, 1 1 0
19.5, 19, 0 2 0
20.5, 53, 1 1 -1
25.6, 38, 1 1 1
29.4, 100, 2 2 -1
30.1, 46, 3 1 0
31.0, 16, 1 3 0
36.7, 32, 2 2 1
37.9, 24, 0 0 2
41.4, 14, 3 3 -1
56.2, 13, 4 4 0
58.7, 15, 2 2 -3

a = 9.963 Å, b = 9.105 Å, c = 5.025 Å
α = 90.00°, β = 109.14°, γ = 90.00°
Space group C2/c (No. 15)
Inequivalent atoms, fractional coordinates:
Zn  0.000  0.124  0.250 (multiplicity 4)
P  0.214  0.411  0.244 (multiplicity 8)
O  0.126  0.073  0.652 (multiplicity 8)
O  0.149  0.262  0.191 (multiplicity 8)
O  0.150  0.494  0.460 (multiplicity 8)

=====

3.
For GeO2, a crystal structure in the Materials Project, relaxed with PBE gives the simulated X-ray powder pattern in this record (Cu Ka).
Kinematic intensities with the Lorentz-polarization factor, no thermal factor.

Peak list (12 most intense, 2θ = 10–90°, sorted by position)
2θ (°), intensity, h k l
21.3, 100, 1 0 1
27.7, 17, 1 1 1
30.2, 22, 1 0 2
35.0, 13, 1 1 2
35.3, 21, 2 0 0
39.6, 7, 2 1 0
41.6, 13, 2 1 1
45.0, 7, 1 1 3
58.8, 9, 3 1 1
60.2, 13, 3 0 2
70.2, 8, 3 1 3
71.7, 7, 3 2 2

a = 5.087 Å, b = 5.087 Å, c = 7.292 Å
α = 90.00°, β = 90.00°, γ = 90.00°
Space group P4_12_12 (No. 92)
Inequivalent atoms, fractional coordinates:
Ge  0.181  0.181  0.000 (multiplicity 4)
O  0.157  0.772  0.454 (multiplicity 8)

=====

4.
For Rb2SnO3, a crystal structure in the Materials Project, relaxed with PBE gives the simulated X-ray powder pattern in this record (Cu Ka).
Kinematic intensities with the Lorentz-polarization factor, no thermal factor.

Peak list (12 most intense, 2θ = 10–90°, sorted by position)
2θ (°), intensity, h k l
13.9, 15, 0 2 0
26.1, 23, 0 0 4
26.3, 20, 1 3 1
28.7, 100, 1 3 2
29.0, 55, 2 0 0
30.7, 38, 1 1 4
31.0, 15, 0 4 2
35.8, 16, 0 2 5
39.4, 22, 2 0 4
51.2, 22, 3 3 2
52.4, 13, 3 1 4
58.1, 17, 2 4 6

a = 6.166 Å, b = 12.718 Å, c = 13.665 Å
α = 90.00°, β = 90.00°, γ = 90.00°
Space group Cmce (No. 64)
Inequivalent atoms, fractional coordinates:
Rb  0.000  0.052  0.136 (multiplicity 8)
Rb  0.000  0.127  0.576 (multiplicity 8)
Sn  0.000  0.241  0.337 (multiplicity 8)
O  0.000  0.089  0.359 (multiplicity 8)
O  0.000  0.159  0.945 (multiplicity 8)
O  0.250  0.215  0.750 (multiplicity 8)

=====

5.
For Sr2DyCu2Bi2O8, a crystal structure in the Materials Project, relaxed with PBE gives the simulated X-ray powder pattern in this record (Cu Ka).
Kinematic intensities with the Lorentz-polarization factor, no thermal factor.

Peak list (12 most intense, 2θ = 10–90°, sorted by position)
2θ (°), intensity, h k l
11.5, 24, 0 4 0
24.8, 52, 1 3 1
27.4, 56, 1 5 1
29.0, 23, 0 10 0
30.9, 100, 1 7 1
32.5, 49, 2 0 0
33.5, 49, 0 0 2
35.1, 20, 1 9 1
44.1, 22, 2 10 0
44.8, 23, 0 10 2
47.4, 45, 2 0 2
56.1, 28, 1 17 1

a = 5.504 Å, b = 30.812 Å, c = 5.355 Å
α = 90.00°, β = 90.00°, γ = 90.00°
Space group Cccm (No. 66)
Inequivalent atoms, fractional coordinates:
Sr  0.249  0.138  0.000 (multiplicity 8)
Dy  0.250  0.250  0.000 (multiplicity 4)
Cu  0.250  0.200  0.500 (multiplicity 8)
Bi  0.228  0.452  0.500 (multiplicity 8)
O  0.000  0.202  0.250 (multiplicity 8)
O  0.000  0.298  0.250 (multiplicity 8)
O  0.165  0.449  0.000 (multiplicity 8)
O  0.242  0.116  0.500 (multiplicity 8)

=====

6.
For CeYZn2, a crystal structure in the Materials Project, relaxed with PBE gives the simulated X-ray powder pattern in this record (Cu Ka).
Kinematic intensities with the Lorentz-polarization factor, no thermal factor.

Peak list (12 most intense, 2θ = 10–90°, sorted by position)
2θ (°), intensity, h k l
21.3, 4, 1 1 1
24.7, 7, 2 0 0
35.2, 100, 2 2 0
41.5, 2, 3 1 1
43.4, 2, 2 2 2
50.6, 17, 4 0 0
55.5, 1, 3 3 1
57.1, 3, 4 2 0
63.1, 35, 4 2 2
74.3, 11, 4 4 0
79.7, 1, 6 0 0
85.0, 15, 6 2 0

a = 7.219 Å, b = 7.219 Å, c = 7.219 Å
α = 90.00°, β = 90.00°, γ = 90.00°
Space group Fm-3m (No. 225)
Inequivalent atoms, fractional coordinates:
Ce  0.000  0.000  0.000 (multiplicity 4)
Y  0.000  0.000  0.500 (multiplicity 4)
Zn  0.250  0.250  0.250 (multiplicity 8)